(1)
Diffraction record for RbAuSO. The powder diffractogram is simulated, not measured: it uses the GGA-PBE geometry in OQMD and λ = 1.5418 Å (Cu Kα).

Structure:
```
data_RbAuSO
_cell_length_a 5.044
_cell_length_b 8.728
_cell_length_c 9.793
_cell_angle_alpha 90.00
_cell_angle_beta 95.18
_cell_angle_gamma 90.00
_symmetry_space_group_name_H-M 'P 1 21/c 1'
_symmetry_Int_Tables_number 14
_symmetry_space_group_name_Hall '-P 2ybc'
loop_
_atom_site_label
_atom_site_type_symbol
_atom_site_fract_x
_atom_site_fract_y
_atom_site_fract_z
Rb1 Rb 0.153 0.231 0.467
Au1 Au 0.499 0.051 0.215
S1 S 0.206 0.615 0.794
O1 O 0.328 0.733 0.384
```

The 12 most intense peaks (2θ from 10° to 90°), sorted by position:
2θ = 17.66°, 5.023 Å, I 57, hkl 1 0 0; 2θ = 18.19°, 4.877 Å, I 41, hkl 0 0 2; 2θ = 22.32°, 3.983 Å, I 25, hkl 0 2 1; 2θ = 24.26°, 3.669 Å, I 31, hkl 1 0 -2; 2θ = 26.35°, 3.382 Å, I 38, hkl 1 1 -2; 2θ = 26.60°, 3.351 Å, I 81, hkl 1 0 2; 2θ = 27.07°, 3.294 Å, I 78, hkl 1 2 0; 2θ = 27.43°, 3.252 Å, I 100, hkl 0 2 2; 2θ = 29.12°, 3.067 Å, I 30, hkl 1 2 1; 2θ = 31.87°, 2.808 Å, I 26, hkl 1 2 -2; 2θ = 35.73°, 2.513 Å, I 31, hkl 2 0 0; 2θ = 45.96°, 1.975 Å, I 26, hkl 1 4 -1



(2)
Diffraction record for NaSnHg3O4. The powder diffractogram is simulated, not measured: it uses the GGA-PBE geometry in OQMD and λ = 1.5418 Å (Cu Kα).

Structure:
```
data_NaSnHg3O4
_cell_length_a 5.966
_cell_length_b 5.966
_cell_length_c 5.966
_cell_angle_alpha 90.00
_cell_angle_beta 90.00
_cell_angle_gamma 90.00
_symmetry_space_group_name_H-M 'P -4 3 m'
_symmetry_Int_Tables_number 215
_symmetry_space_group_name_Hall 'P -4 2 3'
loop_
_atom_site_label
_atom_site_type_symbol
_atom_site_fract_x
_atom_site_fract_y
_atom_site_fract_z
Na1 Na 0.000 0.000 0.000
Sn1 Sn 0.500 0.500 0.500
Hg1 Hg 0.000 0.500 0.500
O1 O 0.302 0.302 0.302
```

The 12 most intense peaks (2θ from 10° to 90°), sorted by position:
2θ = 14.85°, 5.966 Å, I 100, hkl 1 0 0; 2θ = 25.87°, 3.444 Å, I 92, hkl 1 1 1; 2θ = 29.95°, 2.983 Å, I 90, hkl 2 0 0; 2θ = 33.59°, 2.668 Å, I 44, hkl 2 1 0; 2θ = 42.87°, 2.109 Å, I 89, hkl 2 2 0; 2θ = 45.62°, 1.989 Å, I 27, hkl 2 2 1; 2θ = 50.75°, 1.799 Å, I 46, hkl 3 1 1; 2θ = 53.18°, 1.722 Å, I 27, hkl 2 2 2; 2θ = 55.54°, 1.655 Å, I 15, hkl 3 2 0; 2θ = 68.56°, 1.369 Å, I 18, hkl 3 3 1; 2θ = 70.60°, 1.334 Å, I 37, hkl 4 2 0; 2θ = 78.55°, 1.218 Å, I 29, hkl 4 2 2



(3)
Diffraction record for TbErTl4. The powder diffractogram is simulated, not measured: it uses the GGA-PBE geometry in OQMD and λ = 1.5418 Å (Cu Kα).

Structure:
```
data_TbErTl4
_cell_length_a 4.670
_cell_length_b 4.689
_cell_length_c 14.580
_cell_angle_alpha 90.00
_cell_angle_beta 90.00
_cell_angle_gamma 90.00
_symmetry_space_group_name_H-M 'A m m 2'
_symmetry_Int_Tables_number 38
_symmetry_space_group_name_Hall 'A 2 -2'
loop_
_atom_site_label
_atom_site_type_symbol
_atom_site_fract_x
_atom_site_fract_y
_atom_site_fract_z
Tb1 Tb 0.000 0.000 0.000
Er1 Er 0.000 0.000 0.310
Tl1 Tl 0.000 0.000 0.655
Tl2 Tl 0.500 0.000 0.156
Tl3 Tl 0.500 0.000 0.479
Tl4 Tl 0.500 0.000 0.831
```

The 12 most intense peaks (2θ from 10° to 90°), sorted by position:
2θ = 32.74°, 2.735 Å, I 100, hkl 1 1 3; 2θ = 36.99°, 2.430 Å, I 17, hkl 0 0 6; 2θ = 38.40°, 2.344 Å, I 17, hkl 0 2 0; 2θ = 38.56°, 2.335 Å, I 17, hkl 2 0 0; 2θ = 54.38°, 1.687 Å, I 11, hkl 0 2 6; 2θ = 54.50°, 1.684 Å, I 11, hkl 2 0 6; 2θ = 55.55°, 1.654 Å, I 12, hkl 2 2 0; 2θ = 63.99°, 1.455 Å, I 12, hkl 1 1 9; 2θ = 65.89°, 1.418 Å, I 14, hkl 1 3 3; 2θ = 66.10°, 1.414 Å, I 14, hkl 3 1 3; 2θ = 68.63°, 1.368 Å, I 11, hkl 2 2 6; 2θ = 89.86°, 1.092 Å, I 6, hkl 3 1 9



(4)
Diffraction record for Sc2NiTe. The powder diffractogram is simulated, not measured: it uses the GGA-PBE geometry in OQMD and λ = 1.5418 Å (Cu Kα).

Structure:
```
data_Sc2NiTe
_cell_length_a 6.773
_cell_length_b 6.773
_cell_length_c 6.773
_cell_angle_alpha 90.00
_cell_angle_beta 90.00
_cell_angle_gamma 90.00
_symmetry_space_group_name_H-M 'F -4 3 m'
_symmetry_Int_Tables_number 216
_symmetry_space_group_name_Hall 'F -4 2 3'
loop_
_atom_site_label
_atom_site_type_symbol
_atom_site_fract_x
_atom_site_fract_y
_atom_site_fract_z
Sc1 Sc 0.000 0.000 0.000
Sc2 Sc 0.250 0.250 0.250
Ni1 Ni 0.000 0.000 0.500
Te1 Te 0.250 0.250 0.750
```

The 12 most intense peaks (2θ from 10° to 90°), sorted by position:
2θ = 22.74°, 3.910 Å, I 21, hkl 1 1 1; 2θ = 26.32°, 3.386 Å, I 6, hkl 2 0 0; 2θ = 37.56°, 2.395 Å, I 100, hkl 2 2 0; 2θ = 44.36°, 2.042 Å, I 11, hkl 3 1 1; 2θ = 46.44°, 1.955 Å, I 2, hkl 2 2 2; 2θ = 54.17°, 1.693 Å, I 16, hkl 4 0 0; 2θ = 59.49°, 1.554 Å, I 5, hkl 3 3 1; 2θ = 61.20°, 1.514 Å, I 2, hkl 4 2 0; 2θ = 67.78°, 1.383 Å, I 32, hkl 4 2 2; 2θ = 72.52°, 1.303 Å, I 4, hkl 5 1 1; 2θ = 80.16°, 1.197 Å, I 10, hkl 4 4 0; 2θ = 84.66°, 1.145 Å, I 4, hkl 5 3 1



(5)
Diffraction record for DyZnInSe3. The powder diffractogram is simulated, not measured: it uses the GGA-PBE geometry in OQMD and λ = 1.5418 Å (Cu Kα).

Structure:
```
data_DyZnInSe3
_cell_length_a 14.647
_cell_length_b 4.113
_cell_length_c 11.074
_cell_angle_alpha 90.00
_cell_angle_beta 90.00
_cell_angle_gamma 90.00
_symmetry_space_group_name_H-M 'P n m a'
_symmetry_Int_Tables_number 62
_symmetry_space_group_name_Hall '-P 2ac 2n'
loop_
_atom_site_label
_atom_site_type_symbol
_atom_site_fract_x
_atom_site_fract_y
_atom_site_fract_z
Dy1 Dy 0.026 0.250 0.157
Zn1 Zn 0.020 0.750 0.401
In1 In 0.243 0.250 0.465
Se1 Se 0.082 0.750 0.615
Se2 Se 0.100 0.250 0.921
Se3 Se 0.144 0.750 0.249
```

The 12 most intense peaks (2θ from 10° to 90°), sorted by position:
2θ = 12.09°, 7.323 Å, I 51, hkl 2 0 0; 2θ = 24.31°, 3.662 Å, I 19, hkl 4 0 0; 2θ = 27.05°, 3.296 Å, I 22, hkl 2 0 3; 2θ = 29.52°, 3.026 Å, I 100, hkl 3 1 1; 2θ = 32.74°, 2.735 Å, I 41, hkl 3 1 2; 2θ = 33.76°, 2.655 Å, I 22, hkl 4 1 1; 2θ = 34.64°, 2.590 Å, I 34, hkl 2 0 4; 2θ = 41.20°, 2.191 Å, I 39, hkl 5 1 2; 2θ = 44.03°, 2.057 Å, I 32, hkl 0 2 0; 2θ = 45.25°, 2.004 Å, I 20, hkl 5 1 3; 2θ = 48.30°, 1.884 Å, I 20, hkl 2 1 5; 2θ = 57.20°, 1.611 Å, I 16, hkl 2 2 4



(6)
Diffraction record for Ga2Ag2Te3S. The powder diffractogram is simulated, not measured: it uses the GGA-PBE geometry in OQMD and λ = 1.5418 Å (Cu Kα).

Structure:
```
data_Ga2Ag2Te3S
_cell_length_a 13.139
_cell_length_b 6.330
_cell_length_c 6.209
_cell_angle_alpha 90.00
_cell_angle_beta 116.77
_cell_angle_gamma 90.00
_symmetry_space_group_name_H-M 'C 1 2 1'
_symmetry_Int_Tables_number 5
_symmetry_space_group_name_Hall 'C 2y'
loop_
_atom_site_label
_atom_site_type_symbol
_atom_site_fract_x
_atom_site_fract_y
_atom_site_fract_z
Ga1 Ga 0.120 0.000 0.387
Ag1 Ag 0.113 0.538 0.843
Te1 Te 0.000 0.238 0.000
Te2 Te 0.250 0.262 0.737
S1 S 0.000 0.800 0.500
```

The 12 most intense peaks (2θ from 10° to 90°), sorted by position:
2θ = 24.97°, 3.567 Å, I 85, hkl 1 1 1; 2θ = 25.40°, 3.506 Å, I 100, hkl 3 1 -1; 2θ = 40.72°, 2.216 Å, I 48, hkl 2 2 -2; 2θ = 41.85°, 2.158 Å, I 22, hkl 2 0 2; 2θ = 42.00°, 2.151 Å, I 44, hkl 4 2 0; 2θ = 42.95°, 2.106 Å, I 22, hkl 6 0 -2; 2θ = 47.99°, 1.896 Å, I 18, hkl 1 3 1; 2θ = 48.47°, 1.878 Å, I 15, hkl 1 1 -3; 2θ = 49.21°, 1.852 Å, I 12, hkl 5 1 -3; 2θ = 50.70°, 1.801 Å, I 13, hkl 5 1 1; 2θ = 51.42°, 1.777 Å, I 11, hkl 7 1 -1; 2θ = 78.94°, 1.213 Å, I 10, hkl 10 2 -2



(7)
Diffraction record for Gd2ErFe6Ni3. The powder diffractogram is simulated, not measured: it uses the GGA-PBE geometry in OQMD and λ = 1.5418 Å (Cu Kα).

Structure:
```
data_Gd2ErFe6Ni3
_cell_length_a 4.9805
_cell_length_b 4.9805
_cell_length_c 24.8770
_cell_angle_alpha 90.00
_cell_angle_beta 90.00
_cell_angle_gamma 120.00
_symmetry_space_group_name_H-M 'R -3 m'
_symmetry_Int_Tables_number 166
_symmetry_space_group_name_Hall '-R 3 2"'
loop_
_atom_site_label
_atom_site_type_symbol
_atom_site_fract_x
_atom_site_fract_y
_atom_site_fract_z
Gd1 Gd 0.0000 0.0000 0.1413
Er1 Er 0.0000 0.0000 0.0000
Fe1 Fe 0.9999 0.5000 0.0809
Ni1 Ni 0.0000 0.0000 0.3331
Ni2 Ni 0.0000 0.0000 0.5000
```

The 12 most intense peaks (2θ from 10° to 90°), sorted by position:
2θ = 32.65°, 2.743 Å, I 49, hkl 1 0 7; 2θ = 35.59°, 2.522 Å, I 38, hkl 0 1 8; 2θ = 36.07°, 2.490 Å, I 56, hkl 1 1 0; 2θ = 42.05°, 2.149 Å, I 34, hkl 0 2 1; 2θ = 42.34°, 2.135 Å, I 100, hkl 1 1 6; 2θ = 43.66°, 2.073 Å, I 13, hkl 0 0 12; 2θ = 45.27°, 2.003 Å, I 12, hkl 0 1 11; 2θ = 62.70°, 1.482 Å, I 15, hkl 2 1 7; 2θ = 64.54°, 1.444 Å, I 13, hkl 1 2 8; 2θ = 68.41°, 1.371 Å, I 13, hkl 2 0 14; 2θ = 69.16°, 1.358 Å, I 22, hkl 3 0 6; 2θ = 76.51°, 1.245 Å, I 20, hkl 2 2 0